Structure and theoretical powder diffraction line list of BaLaTe2AuS (a GGA-PBE-relaxed structure; copper Kα).

Cell and atoms:
Cell: 7.857 7.857 11.039 Å, 90.00 90.00 146.85°
Fractional positions:
1 Ba 0.224 0.776 0.750
2 Ba 0.776 0.224 0.250
3 La 0.500 0.500 0.000
4 La 0.500 0.500 0.500
5 Te 0.148 0.852 0.062
6 Te 0.148 0.852 0.438
7 Te 0.852 0.148 0.562
8 Te 0.852 0.148 0.938
9 Au 0.025 0.975 0.250
10 Au 0.975 0.025 0.750
11 S 0.432 0.568 0.250
12 S 0.568 0.432 0.750

Top 6 peaks for 2θ from 5° to 70°, by angle:
2theta, d/Å, I (rel.)
26.29, 3.390, 43.2
27.88, 3.200, 59.1
31.28, 2.860, 100.0
32.02, 2.795, 40.2
39.57, 2.278, 50.2
40.23, 2.241, 42.0